Entry 1:
Theoretical powder XRD pattern of Th3PN3 for a wavelength of 1.5418 Å, from the PBE geometry in Alexandria.

Structure:
abc: 8.0704 8.0704 8.0704
angles: 51.38 51.38 51.38
Atoms (fractional coordinates):
1 Th 0.0482 0.7541 0.4067
2 Th 0.2459 0.5933 0.9518
3 Th 0.4067 0.0482 0.7541
4 Th 0.5933 0.9518 0.2459
5 Th 0.7541 0.4067 0.0482
6 Th 0.9518 0.2459 0.5933
7 P 0.1668 0.1668 0.1668
8 P 0.8332 0.8332 0.8332
9 N 0.0649 0.3687 0.6980
10 N 0.3020 0.9351 0.6313
11 N 0.3687 0.6980 0.0649
12 N 0.6313 0.3020 0.9351
13 N 0.6980 0.0649 0.3687
14 N 0.9351 0.6313 0.3020

The 10 most intense peaks (15° ≤ 2θ ≤ 90°), most intense first:
Position (°2θ)  intensity
28.53  100
25.48  46
36.34  30
44.87  25
46.86  23
52.32  23
59.10  19
54.04  16
72.78  13
77.14  11

***

Entry 2:
Theoretical powder XRD pattern of ThUPN2 for a wavelength of 1.5418 Å, from the PBE geometry in Alexandria.

Structure:
abc: 3.8125 3.8125 12.1266
angles: 90.00 90.00 90.00
Atoms (fractional coordinates):
1 Th 0.0000 0.0000 0.0000
2 Th 0.5000 0.5000 0.5000
3 U 0.0000 0.0000 0.2944
4 U 0.5000 0.5000 0.7944
5 P 0.0000 0.0000 0.6456
6 P 0.5000 0.5000 0.1456
7 N 0.0000 0.5000 0.3834
8 N 0.0000 0.5000 0.8834
9 N 0.5000 0.0000 0.3834
10 N 0.5000 0.0000 0.8834

The 10 most intense peaks (15° ≤ 2θ ≤ 90°), most intense first:
Position (°2θ)  intensity
32.28  100
24.48  55
33.23  47
58.78  37
45.00  28
47.71  21
29.46  16
58.52  16
56.94  15
78.75  14

***

Entry 3:
Theoretical powder XRD pattern of Ti4PN for a wavelength of 1.5418 Å, from the PBE geometry in Alexandria.

Structure:
abc: 6.2036 6.2036 6.2036
angles: 106.92 106.92 114.71
Atoms (fractional coordinates):
1 Ti 0.1855 0.4775 0.2920
2 Ti 0.1855 0.8935 0.7080
3 Ti 0.1878 0.0000 0.1878
4 Ti 0.2275 0.4355 0.7920
5 Ti 0.6435 0.4355 0.2080
6 Ti 0.7500 0.0622 0.3122
7 Ti 0.7500 0.4378 0.6878
8 Ti 0.8122 0.0000 0.8122
9 P 0.4569 0.9569 0.5000
10 P 0.7069 0.7069 0.0000
11 N 0.2307 0.2307 0.0000
12 N 0.9807 0.4807 0.5000

The 10 most intense peaks (15° ≤ 2θ ≤ 90°), most intense first:
Position (°2θ)  intensity
36.22  100
38.54  40
49.33  30
59.88  28
24.09  28
34.34  27
47.46  26
62.73  12
74.96  11
76.86  11

***

Entry 4:
Theoretical powder XRD pattern of Ti4P2N for a wavelength of 1.5418 Å, from the PBE geometry in Alexandria.

Structure:
abc: 9.9314 3.2146 6.7780
angles: 90.00 120.37 90.00
Atoms (fractional coordinates):
1 Ti 0.0788 0.0000 0.3579
2 Ti 0.1476 0.5000 0.0473
3 Ti 0.3524 0.0000 0.9527
4 Ti 0.4212 0.5000 0.6421
5 Ti 0.5788 0.5000 0.3579
6 Ti 0.6476 0.0000 0.0473
7 Ti 0.8524 0.5000 0.9527
8 Ti 0.9212 0.0000 0.6421
9 P 0.1446 0.5000 0.6790
10 P 0.3554 0.0000 0.3210
11 P 0.6446 0.0000 0.6790
12 P 0.8554 0.5000 0.3210
13 N 0.0000 0.0000 0.0000
14 N 0.5000 0.5000 0.0000

The 10 most intense peaks (15° ≤ 2θ ≤ 90°), most intense first:
Position (°2θ)  intensity
39.06  100
38.95  97
35.90  96
42.33  89
46.59  56
37.45  51
39.97  43
57.32  42
42.19  41
50.03  37

***

Entry 5:
Theoretical powder XRD pattern of TmP2N4 for a wavelength of 1.5418 Å, from the PBE geometry in Alexandria.

Structure:
abc: 5.5167 5.7084 5.7242
angles: 97.88 113.27 104.66
Atoms (fractional coordinates):
1 Tm 0.0000 0.0000 0.0000
2 Tm 0.2433 0.5522 0.8282
3 P 0.1120 0.6298 0.3381
4 P 0.5876 0.2177 0.9456
5 P 0.6152 0.3530 0.4930
6 P 0.7096 0.8605 0.4114
7 N 0.3613 0.7820 0.2499
8 N 0.4345 0.3064 0.6647
9 N 0.4546 0.3075 0.1578
10 N 0.5276 0.9289 0.8738
11 N 0.7999 0.6668 0.6227
12 N 0.8243 0.1710 0.5534
13 N 0.8993 0.8086 0.2659
14 N 0.9276 0.3757 0.0717

The 10 most intense peaks (15° ≤ 2θ ≤ 90°), most intense first:
Position (°2θ)  intensity
17.50  100
26.42  67
29.05  67
32.53  61
33.62  60
24.26  58
33.83  53
34.48  52
30.97  52
34.92  47

***

Entry 6:
Theoretical powder XRD pattern of Tm2PN4 for a wavelength of 1.5418 Å, from the PBE geometry in Alexandria.

Structure:
abc: 7.7703 6.7675 5.7905
angles: 76.01 57.68 46.31
Atoms (fractional coordinates):
1 Tm 0.0628 0.6872 0.0628
2 Tm 0.3128 0.9372 0.3128
3 Tm 0.6872 0.0628 0.6872
4 Tm 0.9372 0.3128 0.9372
5 P 0.3750 0.3750 0.3750
6 P 0.6250 0.6250 0.6250
7 N 0.1741 0.7097 0.3622
8 N 0.2540 0.3622 0.7097
9 N 0.2903 0.8259 0.7460
10 N 0.3622 0.2540 0.1741
11 N 0.6378 0.7460 0.8259
12 N 0.7097 0.1741 0.2540
13 N 0.7460 0.6378 0.2903
14 N 0.8259 0.2903 0.6378

The 10 most intense peaks (15° ≤ 2θ ≤ 90°), most intense first:
Position (°2θ)  intensity
31.87  100
32.67  96
23.38  70
29.65  65
49.28  57
38.39  45
34.40  31
54.55  27
46.03  26
53.25  25